# MnBe2Au6
Theoretical PXRD pattern, Cu Ka. Input: the PBE geometry in Alexandria.
No peak broadening, texture or thermal motion is included.

Structural model:
Cell lengths 7.259, 7.259, 2.988 Å; angles 101.78, 101.78, 100.49 degrees
Sites, in units of the cell vectors:
Mn1 0.000 0.000 0.000
Be1 0.294 0.294 0.294
Be2 0.706 0.706 0.706
Au1 0.038 0.333 0.686
Au2 0.333 0.038 0.686
Au3 0.367 0.633 0.500
Au4 0.633 0.367 0.500
Au5 0.667 0.962 0.314
Au6 0.962 0.667 0.314

Main lines, in order of rising 2θ (2θ from 10° to 90°):
two_theta, I (rel.)
31.6, 95.7
31.7, 32.7
32.1, 70.8
37.3, 79.8
39.1, 100.0
44.0, 75.9
45.7, 55.2
70.3, 27.3


# MnBe5Au6
Theoretical PXRD pattern, Cu Ka. Input: the PBE geometry in Alexandria.
No peak broadening, texture or thermal motion is included.

Structural model:
Cell lengths 7.347, 7.347, 7.347 Å; angles 146.59, 130.32, 61.19 degrees
Sites, in units of the cell vectors:
Mn1 0.000 0.000 0.000
Be1 0.157 0.657 0.500
Be2 0.332 0.332 0.000
Be3 0.500 0.000 0.500
Be4 0.668 0.668 0.000
Be5 0.843 0.343 0.500
Au1 0.088 0.827 0.261
Au2 0.270 0.500 0.770
Au3 0.434 0.173 0.261
Au4 0.566 0.827 0.739
Au5 0.730 0.500 0.230
Au6 0.912 0.173 0.739

Main lines, in order of rising 2θ (2θ from 10° to 90°):
two_theta, I (rel.)
28.9, 50.5
29.9, 95.2
42.1, 100.0
42.9, 48.6
52.5, 39.4
68.5, 16.4
70.1, 16.6
78.0, 17.0


# BeAuN
Theoretical PXRD pattern, Cu Ka. Input: the PBE geometry in Alexandria.
No peak broadening, texture or thermal motion is included.

Structural model:
Cell lengths 3.110, 3.089, 7.356 Å; angles 90.00, 102.15, 90.00 degrees
Sites, in units of the cell vectors:
Be1 0.240 0.250 0.480
Be2 0.760 0.750 0.520
Au1 0.426 0.250 0.852
Au2 0.574 0.750 0.148
N1 0.307 0.750 0.614
N2 0.693 0.250 0.386

Main lines, in order of rising 2θ (2θ from 10° to 90°):
two_theta, I (rel.)
12.3, 100.0
29.4, 96.3
31.5, 53.7
37.5, 26.1
38.4, 60.5
45.5, 68.6
52.5, 27.8
53.4, 22.8


# NaBe4Au8
Theoretical PXRD pattern, Cu Ka. Input: the PBE geometry in Alexandria.
No peak broadening, texture or thermal motion is included.

Structural model:
Cell lengths 6.750, 6.750, 6.750 Å; angles 98.95, 98.95, 133.53 degrees
Sites, in units of the cell vectors:
Na1 0.000 0.000 0.000
Be1 0.000 0.000 0.500
Be2 0.000 0.500 0.000
Be3 0.500 0.000 0.000
Be4 0.500 0.500 0.500
Au1 0.000 0.322 0.322
Au2 0.000 0.678 0.678
Au3 0.274 0.500 0.774
Au4 0.322 0.000 0.322
Au5 0.500 0.274 0.774
Au6 0.500 0.726 0.226
Au7 0.678 0.000 0.678
Au8 0.726 0.500 0.226

Main lines, in order of rising 2θ (2θ from 10° to 90°):
two_theta, I (rel.)
28.8, 100.0
33.7, 59.0
35.0, 29.2
40.8, 58.1
41.2, 31.4
44.9, 66.5
45.9, 31.4
74.8, 27.3


# NaBePAu
Theoretical PXRD pattern, Cu Ka. Input: the PBE geometry in Alexandria.
No peak broadening, texture or thermal motion is included.

Structural model:
Cell lengths 3.733, 3.733, 10.740 Å; angles 90.00, 90.00, 90.00 degrees
Sites, in units of the cell vectors:
Na1 0.250 0.250 0.250
Na2 0.750 0.750 0.750
Be1 0.250 0.750 0.000
Be2 0.750 0.250 0.000
P1 0.250 0.250 0.882
P2 0.750 0.750 0.118
Au1 0.250 0.750 0.500
Au2 0.750 0.250 0.500

Main lines, in order of rising 2θ (2θ from 10° to 90°):
two_theta, I (rel.)
16.5, 100.0
24.9, 51.4
34.0, 23.5
35.0, 90.2
38.0, 80.3
42.6, 35.1
48.4, 34.8
48.8, 25.6


# NdBe3Au6
Theoretical PXRD pattern, Cu Ka. Input: the PBE geometry in Alexandria.
No peak broadening, texture or thermal motion is included.

Structural model:
Cell lengths 6.984, 6.984, 6.984 Å; angles 48.30, 48.30, 48.30 degrees
Sites, in units of the cell vectors:
Nd1 0.000 0.000 0.000
Be1 0.309 0.309 0.309
Be2 0.645 0.645 0.645
Be3 0.841 0.841 0.841
Au1 0.079 0.576 0.574
Au2 0.295 0.475 0.886
Au3 0.475 0.886 0.295
Au4 0.574 0.079 0.576
Au5 0.576 0.574 0.079
Au6 0.886 0.295 0.475

Main lines, in order of rising 2θ (2θ from 10° to 90°):
two_theta, I (rel.)
26.4, 33.7
29.0, 61.2
30.2, 37.8
31.3, 38.8
34.6, 59.3
36.6, 100.0
43.2, 63.7
44.1, 64.6


# NdBe4Au8
Theoretical PXRD pattern, Cu Ka. Input: the PBE geometry in Alexandria.
No peak broadening, texture or thermal motion is included.

Structural model:
Cell lengths 6.865, 6.865, 6.865 Å; angles 98.41, 98.41, 135.04 degrees
Sites, in units of the cell vectors:
Nd1 0.000 0.000 0.000
Be1 0.000 0.000 0.500
Be2 0.000 0.500 0.000
Be3 0.500 0.000 0.000
Be4 0.500 0.500 0.500
Au1 0.000 0.333 0.333
Au2 0.000 0.667 0.667
Au3 0.278 0.500 0.778
Au4 0.333 0.000 0.333
Au5 0.500 0.278 0.778
Au6 0.500 0.722 0.222
Au7 0.667 0.000 0.667
Au8 0.722 0.500 0.222

Main lines, in order of rising 2θ (2θ from 10° to 90°):
two_theta, I (rel.)
28.1, 72.2
34.2, 67.4
34.5, 49.5
40.1, 100.0
40.2, 34.2
44.8, 46.5
45.1, 38.0
73.0, 37.6


# Np2Be7Au12
Theoretical PXRD pattern, Cu Ka. Input: the PBE geometry in Alexandria.
No peak broadening, texture or thermal motion is included.

Structural model:
Cell lengths 9.881, 9.881, 4.041 Å; angles 90.00, 90.00, 120.00 degrees
Sites, in units of the cell vectors:
Np1 0.333 0.667 0.252
Np2 0.667 0.333 0.748
Be1 0.000 0.000 0.000
Be2 0.110 0.397 0.753
Be3 0.287 0.890 0.753
Be4 0.397 0.287 0.247
Be5 0.603 0.713 0.753
Be6 0.713 0.110 0.247
Be7 0.890 0.603 0.247
Au1 0.079 0.621 0.749
Au2 0.120 0.861 0.253
Au3 0.139 0.259 0.253
Au4 0.259 0.120 0.747
Au5 0.379 0.457 0.749
Au6 0.457 0.079 0.251
Au7 0.543 0.921 0.749
Au8 0.621 0.543 0.251
Au9 0.741 0.880 0.253
Au10 0.861 0.741 0.747
Au11 0.880 0.139 0.747
Au12 0.921 0.379 0.251

Main lines, in order of rising 2θ (2θ from 10° to 90°):
two_theta, I (rel.)
27.6, 26.0
28.5, 9.7
35.6, 100.0
44.9, 14.5
46.2, 11.9
48.8, 12.7
53.5, 11.4
76.6, 11.3